Diffraction record for PmNd5YEr2. The X-ray diffraction stick pattern is computed, not measured: it uses a crystal structure in Alexandria, relaxed with GGA-PBE and copper Kα.
Peak positions follow from Bragg's law for the DFT cell and can differ from measured ones.

abc: 5.6697 20.5346 10.7314
angles: 90.00 90.00 90.00
Space group Cmc2_1 (No. 36)
Unique sites:
Pm1 0.0000 0.2009 0.0000
Nd1 0.0000 0.0153 0.0098
Nd2 0.0000 0.2798 0.2996
Nd3 0.0000 0.2966 0.6948
Nd4 0.0000 0.3897 0.0142
Nd5 0.0000 0.4805 0.7327
Y1 0.0000 0.4090 0.4482
Er1 0.0000 0.1115 0.7280
Er2 0.0000 0.1156 0.3031

Peak list (8 most intense, 2θ from 10° to 90°, low angle first)
(hkl)  Position (°2θ)  Rel. int.
0 6 1  27.35  12
1 1 3  29.85  27
2 0 0  31.63  100
0 0 4  33.40  10
2 10 0  55.19  10
3 5 2  56.26  14
1 11 3  58.06  9
2 6 5  60.49  9